This entry pairs a crystal structure of SrLaVFeO6 with its simulated PXRD pattern. Radiation: CuKα. Structure: a cell relaxed with PBE+U.
No peak broadening, texture or thermal motion is included.

Principal peaks in the range 10° ≤ 2θ ≤ 80°, in order of falling intensity:
- 32.16°, intensity 1000
- 46.25°, intensity 284
- 32.34°, intensity 198
- 67.31°, intensity 165
- 57.31°, intensity 151
- 45.98°, intensity 145
- 57.42°, intensity 113
- 57.59°, intensity 112
- 39.62°, intensity 112
- 39.77°, intensity 112

Atomic structure:
a b c (Å): 5.536 5.563 9.641
angles (deg): 90.03 106.53 119.81
Positions (direct):
Sr 0.000 0.000 0.000
Sr 0.000 0.499 0.502
La 0.496 0.239 0.755
La 0.500 0.752 0.248
V 0.250 0.624 0.876
V 0.251 0.126 0.377
Fe 0.748 0.872 0.624
Fe 0.753 0.377 0.129
O 0.002 0.251 0.753
O 0.003 0.000 0.499
O 0.006 0.249 0.254
O 0.006 0.758 0.253
O 0.009 0.752 0.753
O 0.011 0.506 0.002
O 0.495 0.000 0.499
O 0.495 0.751 0.753
O 0.496 0.491 0.501
O 0.498 0.249 0.255
O 0.498 0.506 0.002
O 0.501 0.002 0.999

This entry pairs a crystal structure of SrLaVFeO6 with its simulated PXRD pattern. Radiation: CuKα. Structure: a cell relaxed with PBE+U.
No peak broadening, texture or thermal motion is included.

Principal peaks in the range 10° ≤ 2θ ≤ 80°, in order of falling intensity:
- 32.18°, intensity 1000
- 31.96°, intensity 650
- 32.38°, intensity 335
- 57.33°, intensity 270
- 39.55°, intensity 240
- 45.66°, intensity 232
- 46.22°, intensity 220
- 46.39°, intensity 207
- 67.32°, intensity 185
- 56.96°, intensity 136

Atomic structure:
a b c (Å): 5.530 5.567 9.630
angles (deg): 90.01 106.27 119.45
Positions (direct):
Sr 0.000 0.000 0.000
Sr 0.008 0.498 0.505
La 0.489 0.244 0.749
La 0.498 0.747 0.245
V 0.748 0.869 0.625
V 0.755 0.376 0.128
Fe 0.250 0.122 0.374
Fe 0.251 0.622 0.877
O 0.024 0.261 0.733
O 0.036 0.765 0.230
O 0.039 0.789 0.737
O 0.063 0.295 0.237
O 0.462 0.473 0.020
O 0.475 0.965 0.517
O 0.482 0.976 0.027
O 0.491 0.469 0.530
O 0.553 0.774 0.776
O 0.577 0.276 0.276
O 0.916 0.460 0.968
O 0.930 0.957 0.465

This entry pairs a crystal structure of SrLaVFeO6 with its simulated PXRD pattern. Radiation: CuKα. Structure: a cell relaxed with PBE+U.
No peak broadening, texture or thermal motion is included.

Principal peaks in the range 10° ≤ 2θ ≤ 80°, in order of falling intensity:
- 32.08°, intensity 1000
- 32.29°, intensity 491
- 57.45°, intensity 373
- 46.31°, intensity 350
- 39.65°, intensity 278
- 67.10°, intensity 207
- 57.06°, intensity 191
- 45.70°, intensity 184
- 67.58°, intensity 101
- 19.53°, intensity 89

Atomic structure:
a b c (Å): 5.582 5.582 7.835
angles (deg): 90.00 90.00 90.67
Positions (direct):
Sr 0.000 0.500 0.248
Sr 0.500 0.000 0.752
La 0.000 0.500 0.757
La 0.500 0.000 0.243
V 0.000 0.000 0.000
V 0.500 0.500 0.500
Fe 0.000 0.000 0.500
Fe 0.500 0.500 0.000
O 0.000 0.000 0.243
O 0.000 0.000 0.757
O 0.247 0.753 0.000
O 0.248 0.248 0.000
O 0.250 0.750 0.500
O 0.257 0.257 0.500
O 0.500 0.500 0.252
O 0.500 0.500 0.748
O 0.743 0.743 0.500
O 0.750 0.250 0.500
O 0.752 0.752 0.000
O 0.753 0.247 0.000